# 1
Starting from a GGA+U-relaxed structure, the PXRD pattern of Na2Cr2H2O7 was calculated for copper Kα.

Largest 10 diffraction maxima, low angle first, 15° ≤ 2θ ≤ 90°:
- 2θ = 15.32°, rel. 260, (1 0 -1)
- 2θ = 15.56°, rel. 283, (1 0 1)
- 2θ = 16.87°, rel. 1000, (0 2 0)
- 2θ = 17.70°, rel. 170, (1 1 1)
- 2θ = 20.82°, rel. 353, (1 1 -2)
- 2θ = 21.15°, rel. 412, (1 1 2)
- 2θ = 27.72°, rel. 351, (0 1 4)
- 2θ = 30.30°, rel. 156, (2 1 1)
- 2θ = 31.94°, rel. 178, (1 3 -2)
- 2θ = 32.15°, rel. 160, (1 3 2)

Atomic structure:
Cell: 6.3418 10.5102 13.5231 Å, 90.00 91.07 90.00°
Space group P2_1 (No. 4)
Unique sites:
Na 0.0683 0.0000 0.2345 [2 per cell]
Na 0.1673 0.5393 0.4718 [2 per cell]
Na 0.3215 0.4827 0.9887 [2 per cell]
Na 0.3520 0.9987 0.7697 [2 per cell]
Cr 0.1435 0.6547 0.1914 [2 per cell]
Cr 0.1528 0.1537 0.0054 [2 per cell]
Cr 0.3389 0.2130 0.5422 [2 per cell]
Cr 0.4364 0.6680 0.6672 [2 per cell]
H 0.0276 0.3759 0.3135 [2 per cell]
H 0.1555 0.8953 0.4278 [2 per cell]
H 0.3246 0.3838 0.7972 [2 per cell]
H 0.3342 0.8434 0.9340 [2 per cell]
O 0.0135 0.5738 0.9265 [2 per cell]
O 0.0989 0.1199 0.8768 [2 per cell]
O 0.1040 0.6267 0.3076 [2 per cell]
O 0.1163 0.1688 0.4905 [2 per cell]
O 0.1233 0.3051 0.0244 [2 per cell]
O 0.2000 0.6209 0.6970 [2 per cell]
O 0.2027 0.8032 0.1743 [2 per cell]
O 0.3316 0.5625 0.1501 [2 per cell]
O 0.3409 0.3675 0.5525 [2 per cell]
O 0.3763 0.1450 0.6496 [2 per cell]
O 0.3854 0.0736 0.2854 [2 per cell]
O 0.3944 0.1118 0.0315 [2 per cell]
O 0.4476 0.6630 0.5347 [2 per cell]
O 0.4799 0.8144 0.7037 [2 per cell]

---

# 2
Starting from a GGA+U-relaxed structure, the PXRD pattern of Cs2AgMoF6 was calculated for copper Kα.

Largest 10 diffraction maxima, low angle first, 15° ≤ 2θ ≤ 90°:
- 2θ = 27.49°, rel. 1000, (2 2 0)
- 2θ = 33.83°, rel. 55, (2 2 2)
- 2θ = 39.26°, rel. 342, (4 0 0)
- 2θ = 48.60°, rel. 401, (4 2 2)
- 2θ = 56.74°, rel. 213, (4 4 0)
- 2θ = 64.17°, rel. 188, (6 2 0)
- 2θ = 67.72°, rel. 15, (6 2 2)
- 2θ = 71.17°, rel. 68, (4 4 4)
- 2θ = 77.88°, rel. 214, (6 4 2)
- 2θ = 84.43°, rel. 32, (8 0 0)

Atomic structure:
Cell: 9.1785 9.1785 9.1785 Å, 90.00 90.00 90.00°
Space group Fm-3m (No. 225)
Unique sites:
Cs 0.2500 0.2500 0.2500 [8 per cell]
Ag 0.0000 0.0000 0.0000 [4 per cell]
Mo 0.0000 0.0000 0.5000 [4 per cell]
F 0.0000 0.0000 0.2724 [24 per cell]

---

# 3
Starting from a GGA+U-relaxed structure, the PXRD pattern of CsLuMo2O8 was calculated for copper Kα.

Largest 10 diffraction maxima, low angle first, 15° ≤ 2θ ≤ 90°:
- 2θ = 17.06°, rel. 452, (1 0 0)
- 2θ = 20.25°, rel. 709, (1 0 1)
- 2θ = 27.79°, rel. 1000, (1 0 2)
- 2θ = 29.77°, rel. 724, (1 1 0)
- 2θ = 41.18°, rel. 406, (2 0 2)
- 2θ = 47.61°, rel. 132, (2 1 1)
- 2θ = 51.63°, rel. 359, (2 1 2)
- 2θ = 52.84°, rel. 142, (3 0 0)
- 2θ = 54.35°, rel. 270, (1 1 4)
- 2θ = 69.10°, rel. 157, (1 3 2)

Atomic structure:
Cell: 6.0018 6.0018 8.1654 Å, 90.00 90.00 120.00°
Space group P-3m1 (No. 164)
Unique sites:
Cs 0.0000 0.0000 0.0000 [1 per cell]
Lu 0.0000 0.0000 0.5000 [1 per cell]
Mo 0.3333 0.6667 0.2660 [2 per cell]
O 0.1682 0.3365 0.3367 [6 per cell]
O 0.3333 0.6667 0.0510 [2 per cell]

---

# 4
Starting from a GGA+U-relaxed structure, the PXRD pattern of CrGaO4 was calculated for copper Kα.

Largest 10 diffraction maxima, low angle first, 15° ≤ 2θ ≤ 90°:
- 2θ = 27.37°, rel. 895, (0 2 0)
- 2θ = 28.22°, rel. 775, (0 0 2)
- 2θ = 36.18°, rel. 1000, (1 1 1)
- 2θ = 39.72°, rel. 201, (0 2 2)
- 2θ = 41.76°, rel. 184, (1 0 2)
- 2θ = 54.32°, rel. 548, (1 3 1)
- 2θ = 55.30°, rel. 466, (1 1 3)
- 2θ = 56.47°, rel. 141, (0 4 0)
- 2θ = 58.37°, rel. 143, (0 0 4)
- 2θ = 69.79°, rel. 335, (1 3 3)

Atomic structure:
Cell: 2.9655 6.5181 6.3235 Å, 90.00 90.00 90.00°
Space group Amm2 (No. 38)
Unique sites:
Cr 0.0000 0.0000 0.0000 [2 per cell]
Ga 0.5000 0.0000 0.5002 [2 per cell]
O 0.0000 0.0000 0.2947 [2 per cell]
O 0.0000 0.0000 0.7045 [2 per cell]
O 0.5000 0.1893 0.9990 [4 per cell]

---

# 5
Starting from a GGA+U-relaxed structure, the PXRD pattern of LiVCrP2H2O10 was calculated for copper Kα.

Largest 10 diffraction maxima, low angle first, 15° ≤ 2θ ≤ 90°:
- 2θ = 18.00°, rel. 551, (0 1 0)
- 2θ = 18.20°, rel. 498, (1 0 -1)
- 2θ = 18.56°, rel. 607, (1 0 0)
- 2θ = 25.59°, rel. 349, (-1 1 1)
- 2θ = 26.19°, rel. 350, (0 1 1)
- 2θ = 26.35°, rel. 740, (1 0 -2)
- 2θ = 27.00°, rel. 1000, (0 1 -2)
- 2θ = 29.26°, rel. 842, (1 1 0)
- 2θ = 36.32°, rel. 512, (1 -2 0)
- 2θ = 55.93°, rel. 317, (0 3 0)

Atomic structure:
Cell: 5.2555 5.3188 7.3818 Å, 106.07 109.41 98.48°
Space group P1 (No. 1)
Unique sites:
Li 0.0000 0.0000 0.0000 [1 per cell]
V 0.8069 0.4296 0.3717 [1 per cell]
Cr 0.8048 0.4186 0.8646 [1 per cell]
P 0.1363 0.0804 0.6383 [1 per cell]
P 0.4825 0.7723 0.0976 [1 per cell]
H 0.1541 0.4679 0.2068 [1 per cell]
H 0.4660 0.4321 0.5398 [1 per cell]
O 0.0651 0.7762 0.5006 [1 per cell]
O 0.0906 0.2542 0.4960 [1 per cell]
O 0.1733 0.6869 0.9473 [1 per cell]
O 0.4415 0.1665 0.7870 [1 per cell]
O 0.5145 0.5991 0.2397 [1 per cell]
O 0.5388 0.0785 0.2217 [1 per cell]
O 0.6716 0.4679 0.5901 [1 per cell]
O 0.6866 0.7432 0.9893 [1 per cell]
O 0.9433 0.1048 0.7570 [1 per cell]
O 0.9528 0.3677 0.1425 [1 per cell]

---

# 6
Starting from a GGA+U-relaxed structure, the PXRD pattern of MgCr4O9 was calculated for copper Kα.

Largest 10 diffraction maxima, low angle first, 15° ≤ 2θ ≤ 90°:
- 2θ = 18.14°, rel. 774, (0 0 1)
- 2θ = 23.65°, rel. 238, (1 1 1)
- 2θ = 30.16°, rel. 1000, (1 2 1)
- 2θ = 34.05°, rel. 537, (3 1 0)
- 2θ = 44.32°, rel. 321, (1 2 2)
- 2θ = 48.91°, rel. 345, (2 4 0)
- 2θ = 52.59°, rel. 285, (2 4 1)
- 2θ = 58.55°, rel. 189, (4 3 1)
- 2θ = 62.16°, rel. 177, (1 2 3)
- 2θ = 68.12°, rel. 172, (5 0 2)

Atomic structure:
Cell: 8.3274 8.3274 4.8903 Å, 90.00 90.00 90.00°
Space group P4/n (No. 85, origin choice 2)
Unique sites:
Mg 0.2500 0.2500 0.1201 [2 per cell]
Cr 0.0346 0.8409 0.3842 [8 per cell]
O 0.0288 0.1847 0.9414 [8 per cell]
O 0.0429 0.3548 0.4525 [8 per cell]
O 0.2500 0.7500 0.5000 [2 per cell]

---

# 7
Starting from a GGA+U-relaxed structure, the PXRD pattern of CaLaMnFeO6 was calculated for copper Kα.

Largest 10 diffraction maxima, low angle first, 15° ≤ 2θ ≤ 90°:
- 2θ = 19.83°, rel. 353, (1 0 0)
- 2θ = 32.52°, rel. 195, (0 2 0)
- 2θ = 32.69°, rel. 1000, (1 1 -3)
- 2θ = 38.43°, rel. 153, (2 1 -1)
- 2θ = 46.73°, rel. 265, (2 2 -2)
- 2θ = 47.11°, rel. 133, (0 0 4)
- 2θ = 58.14°, rel. 133, (1 3 -3)
- 2θ = 58.27°, rel. 180, (3 1 -5)
- 2θ = 58.45°, rel. 168, (2 0 2)
- 2θ = 68.53°, rel. 131, (2 2 2)

Atomic structure:
Cell: 5.4889 5.5066 9.4660 Å, 90.00 125.39 90.00°
Space group Pc (No. 7)
Unique sites:
Ca 0.0000 0.2138 0.0000 [2 per cell]
La 0.5161 0.2765 0.5001 [2 per cell]
Mn 0.7597 0.2500 0.2495 [2 per cell]
Fe 0.2610 0.2500 0.7508 [2 per cell]
O 0.0750 0.2332 0.4939 [2 per cell]
O 0.4366 0.2632 0.0065 [2 per cell]
O 0.5260 0.0312 0.2881 [2 per cell]
O 0.5892 0.4726 0.7918 [2 per cell]
O 0.9394 0.0232 0.7116 [2 per cell]
O 0.9958 0.4640 0.2089 [2 per cell]

---

# 8
Starting from a GGA+U-relaxed structure, the PXRD pattern of P4WO12 was calculated for copper Kα.

Largest 10 diffraction maxima, low angle first, 15° ≤ 2θ ≤ 90°:
- 2θ = 15.08°, rel. 735, (1 1 -1)
- 2θ = 19.54°, rel. 232, (1 1 1)
- 2θ = 21.09°, rel. 759, (3 1 -1)
- 2θ = 21.58°, rel. 760, (0 0 2)
- 2θ = 22.40°, rel. 447, (1 1 -2)
- 2θ = 23.72°, rel. 588, (3 1 0)
- 2θ = 26.92°, rel. 1000, (2 2 -1)
- 2θ = 30.43°, rel. 289, (3 1 -3)
- 2θ = 31.16°, rel. 290, (2 0 2)
- 2θ = 33.77°, rel. 341, (4 2 -1)

Atomic structure:
Cell: 15.3479 7.4286 9.6697 Å, 90.00 121.62 90.00°
Space group C2/c (No. 15)
Unique sites:
P 0.1280 0.0680 0.1336 [8 per cell]
P 0.1404 0.3287 0.6721 [8 per cell]
W 0.0000 0.3574 0.2500 [4 per cell]
O 0.0724 0.0673 0.9558 [8 per cell]
O 0.0723 0.4319 0.7129 [8 per cell]
O 0.0971 0.1933 0.2264 [8 per cell]
O 0.1167 0.3516 0.5010 [8 per cell]
O 0.1412 0.1246 0.7202 [8 per cell]
O 0.2467 0.1133 0.2002 [8 per cell]

---

# 9
Starting from a GGA+U-relaxed structure, the PXRD pattern of Li2Cr2Si2O9 was calculated for copper Kα.

Largest 10 diffraction maxima, low angle first, 15° ≤ 2θ ≤ 90°:
- 2θ = 16.49°, rel. 890, (2 1 0)
- 2θ = 20.17°, rel. 329, (0 1 1)
- 2θ = 21.16°, rel. 733, (0 2 0)
- 2θ = 27.62°, rel. 1000, (4 1 0)
- 2θ = 30.25°, rel. 248, (2 2 -1)
- 2θ = 33.54°, rel. 963, (3 2 -1)
- 2θ = 37.08°, rel. 451, (2 0 2)
- 2θ = 37.72°, rel. 186, (4 2 1)
- 2θ = 41.35°, rel. 321, (3 1 -2)
- 2θ = 58.27°, rel. 172, (7 0 -2)

Atomic structure:
Cell: 13.9952 8.3954 5.1709 Å, 90.00 90.06 90.00°
Space group Pc (No. 7)
Unique sites:
Li 0.0000 0.1944 0.0000 [2 per cell]
Li 0.1789 0.3027 0.9988 [2 per cell]
Li 0.4995 0.1957 0.7046 [2 per cell]
Li 0.6782 0.3040 0.7048 [2 per cell]
Cr 0.0097 0.4067 0.4866 [2 per cell]
Cr 0.1664 0.0926 0.4728 [2 per cell]
Cr 0.5102 0.4067 0.2205 [2 per cell]
Cr 0.6671 0.0935 0.2225 [2 per cell]
Si 0.3120 0.4027 0.5663 [2 per cell]
Si 0.3657 0.0961 0.1390 [2 per cell]
Si 0.8121 0.4034 0.1389 [2 per cell]
Si 0.8657 0.0959 0.5659 [2 per cell]
O 0.0704 0.4253 0.7929 [2 per cell]
O 0.0897 0.2495 0.3296 [2 per cell]
O 0.1078 0.0772 0.8027 [2 per cell]
O 0.2487 0.0958 0.1384 [2 per cell]
O 0.2666 0.2290 0.6119 [2 per cell]
O 0.2688 0.4866 0.3035 [2 per cell]
O 0.4093 0.0132 0.4014 [2 per cell]
O 0.4113 0.2708 0.0954 [2 per cell]
O 0.4297 0.4040 0.5658 [2 per cell]
O 0.5703 0.4240 0.9109 [2 per cell]
O 0.5892 0.2497 0.3765 [2 per cell]
O 0.6078 0.0764 0.9094 [2 per cell]
O 0.7486 0.0962 0.5660 [2 per cell]
O 0.7671 0.2291 0.0948 [2 per cell]
O 0.7690 0.4868 0.4013 [2 per cell]
O 0.9092 0.0133 0.3035 [2 per cell]
O 0.9112 0.2704 0.6090 [2 per cell]
O 0.9297 0.4038 0.1392 [2 per cell]